No. 1
Theoretical XRD peak list
Compound: ReSbPt2
Radiation: Cu Kα (weighted mean of Kα1 and Kα2)
Structure: the GGA-PBE geometry in Alexandria
Peak positions follow from Bragg's law for the DFT cell and can differ from measured ones.

Most intense lines, 2θ = 15–90°, by intensity:
| Position (°2θ) | Rel. int. |
| --- | --- |
| 38.26 | 100 |
| 38.48 | 94 |
| 41.88 | 74 |
| 66.95 | 37 |
| 73.94 | 28 |
| 49.68 | 24 |
| 74.36 | 24 |
| 60.41 | 14 |
| 81.91 | 11 |
| 61.03 | 11 |

Atomic structure:
abc: 3.0645 3.6704 6.0730
angles: 90.00 90.00 90.00
Space group Pmm2 (No. 25)
Asymmetric unit:
Re1 0.0000 0.0000 0.0000 (multiplicity 1)
Sb1 0.5000 0.5000 0.2815 (multiplicity 1)
Pt1 0.0000 0.0000 0.5430 (multiplicity 1)
Pt2 0.5000 0.5000 0.7891 (multiplicity 1)

***

No. 2
Theoretical XRD peak list
Compound: SiAg8S2O4
Radiation: Cu Kα (weighted mean of Kα1 and Kα2)
Structure: the GGA-PBE geometry in Alexandria
Peak positions follow from Bragg's law for the DFT cell and can differ from measured ones.

Most intense lines, 2θ = 15–90°, by intensity:
| Position (°2θ) | Rel. int. |
| --- | --- |
| 30.11 | 100 |
| 33.99 | 57 |
| 18.07 | 22 |
| 35.33 | 21 |
| 42.13 | 19 |
| 48.99 | 18 |
| 50.86 | 15 |
| 48.83 | 14 |
| 43.28 | 13 |
| 36.68 | 13 |

Atomic structure:
abc: 7.4609 7.4609 19.6000
angles: 90.00 90.00 90.00
Space group I4_1/amd (No. 141, origin choice 2)
Asymmetric unit:
Si1 0.0000 0.2500 0.3750 (multiplicity 4)
Ag1 0.0000 0.2500 0.2247 (multiplicity 8)
Ag2 0.0000 0.2500 0.7743 (multiplicity 8)
Ag3 0.1988 0.0512 0.8750 (multiplicity 16)
S1 0.0000 0.2500 0.1047 (multiplicity 8)
O1 0.0000 0.0808 0.3202 (multiplicity 16)